(1)
Structure and theoretical X-ray powder pattern of K2RuCl5O (a crystal structure in Alexandria, relaxed with GGA-PBE; Cu Ka).

Principal peaks in the range 15° ≤ 2θ ≤ 90°, sorted by position:
d [Å], 2theta, I/Imax
5.720, 15.5, 97
5.584, 15.9, 100
3.473, 25.6, 31
2.795, 32.0, 62
2.762, 32.4, 57
2.483, 36.2, 61

Lattice parameters (Å, degrees): 13.5039 9.9331 6.9968 90.00 90.00 90.00
Sites, in units of the cell vectors:
K (0.1425, 0.0009, 0.1669)
K (0.1425, 0.4991, 0.1669)
K (0.3575, 0.5009, 0.6669)
K (0.3575, 0.9991, 0.6669)
K (0.6425, 0.0009, 0.3331)
K (0.6425, 0.4991, 0.3331)
K (0.8575, 0.5009, 0.8331)
K (0.8575, 0.9991, 0.8331)
Ru (0.0966, 0.7500, 0.6715)
Ru (0.4034, 0.2500, 0.1715)
Ru (0.5966, 0.7500, 0.8285)
Ru (0.9034, 0.2500, 0.3285)
Cl (0.0003, 0.2500, 0.0425)
Cl (0.9997, 0.7500, 0.9575)
Cl (0.1067, 0.5116, 0.6863)
Cl (0.1067, 0.9884, 0.6863)
Cl (0.2160, 0.7500, 0.4215)
Cl (0.2421, 0.7500, 0.8904)
Cl (0.2579, 0.2500, 0.3904)
Cl (0.2840, 0.2500, 0.9215)
Cl (0.3933, 0.0116, 0.1863)
Cl (0.3933, 0.4884, 0.1863)
Cl (0.5003, 0.2500, 0.4575)
Cl (0.4997, 0.7500, 0.5425)
Cl (0.6067, 0.5116, 0.8137)
Cl (0.6067, 0.9884, 0.8137)
Cl (0.7160, 0.7500, 0.0785)
Cl (0.7421, 0.7500, 0.6096)
Cl (0.7579, 0.2500, 0.1096)
Cl (0.7840, 0.2500, 0.5785)
Cl (0.8933, 0.0116, 0.3137)
Cl (0.8933, 0.4884, 0.3137)
O (0.0042, 0.2500, 0.4787)
O (0.4958, 0.7500, 0.9787)
O (0.5042, 0.2500, 0.0213)
O (0.9958, 0.7500, 0.5213)

---

(2)
Structure and theoretical X-ray powder pattern of K4Ru2Cl10O (a crystal structure in Alexandria, relaxed with GGA-PBE; Cu Ka).

Principal peaks in the range 15° ≤ 2θ ≤ 90°, sorted by position:
d [Å], 2theta, I/Imax
3.319, 26.9, 51
3.210, 27.8, 36
2.792, 32.1, 54
2.583, 34.7, 100
1.826, 49.9, 31
1.659, 55.4, 36

Lattice parameters (Å, degrees): 10.0845 10.0845 10.0845 137.53 137.53 61.62
Sites, in units of the cell vectors:
K (0.0000, 0.5000, 0.5000)
K (0.2500, 0.7500, 0.5000)
K (0.5000, 0.0000, 0.5000)
K (0.7500, 0.2500, 0.5000)
Ru (0.1043, 0.1043, 0.0000)
Ru (0.8957, 0.8957, 0.0000)
Cl (0.1193, 0.1193, 0.4639)
Cl (0.1193, 0.6554, 0.0000)
Cl (0.2392, 0.2392, 0.0000)
Cl (0.3446, 0.3446, 0.4639)
Cl (0.3446, 0.8807, 0.0000)
Cl (0.6554, 0.1193, 0.0000)
Cl (0.6554, 0.6554, 0.5361)
Cl (0.7608, 0.7608, 0.0000)
Cl (0.8807, 0.3446, 0.0000)
Cl (0.8807, 0.8807, 0.5361)
O (0.0000, 0.0000, 0.0000)